The following is a calculated powder diffraction line list of KLiSm2F8. It was derived from the PBE geometry in Alexandria, using Cu Kα, 1.54184 Å.

Structural model:
Unit cell a=3.993 b=5.946 c=7.767 alpha=82.81 beta=89.97 gamma=89.86
Space group P-1 (No. 2)
Symmetry-distinct sites (fractional):
K (0.000, 0.000, 0.000)
Li (0.000, 0.000, 0.500)
Sm (0.500, 0.459, 0.259)
F (0.001, 0.207, 0.293)
F (0.001, 0.353, 0.760)
F (0.498, 0.731, 0.464)
F (0.500, 0.283, 0.011)

Top 8 peaks for 2θ = 10–90°, in order of falling intensity:
2θ/deg  intensity  hkl
15.0  100  0 1 0
27.0  79  1 1 0
26.0  46  0 1 2
42.7  36  -1 2 2
22.3  35  1 0 0
23.1  32  0 0 2
29.2  30  0 1 -2
47.0  23  1 2 -2

The following is a calculated powder diffraction line list of Tm4TcPd. It was derived from the PBE geometry in Alexandria, using Cu Kα, 1.54184 Å.

Structural model:
Unit cell a=7.492 b=4.267 c=18.019 alpha=90.00 beta=90.00 gamma=90.00
Space group Pnma (No. 62)
Symmetry-distinct sites (fractional):
Tm (0.006, 0.250, 0.072)
Tm (0.072, 0.250, 0.781)
Tm (0.098, 0.250, 0.353)
Tm (0.149, 0.250, 0.544)
Tc (0.250, 0.250, 0.938)
Pd (0.228, 0.250, 0.202)

Top 8 peaks for 2θ = 10–90°, in order of falling intensity:
2θ/deg  intensity  hkl
31.2  100  1 1 4
35.2  90  2 1 3
31.8  67  2 1 0
42.4  49  0 2 0
32.5  38  0 1 5
36.9  34  1 0 7
34.5  31  2 0 5
41.3  29  3 0 4

The following is a calculated powder diffraction line list of Nd2ICl5. It was derived from the PBE geometry in Alexandria, using Cu Kα, 1.54184 Å.

Structural model:
Unit cell a=4.685 b=8.490 c=11.158 alpha=90.00 beta=90.00 gamma=90.00
Space group Immm (No. 71)
Symmetry-distinct sites (fractional):
Nd (0.000, 0.000, 0.242)
I (0.000, 0.500, 0.000)
Cl (0.000, 0.000, 0.000)
Cl (0.000, 0.313, 0.333)

Top 8 peaks for 2θ = 10–90°, in order of falling intensity:
2θ/deg  intensity  hkl
27.0  100  1 1 2
40.6  55  1 3 2
20.9  47  0 2 0
38.6  39  0 2 4
29.5  34  1 2 1
15.9  30  0 0 2
38.4  28  2 0 0
55.6  26  2 2 4

The following is a calculated powder diffraction line list of La5Ho3Sb8. It was derived from the PBE geometry in Alexandria, using Cu Kα, 1.54184 Å.

Structural model:
Unit cell a=9.0690 b=9.0690 c=22.1636 alpha=90.00 beta=90.00 gamma=120.00
Space group R-3m (No. 166, hexagonal axes)
Symmetry-distinct sites (fractional):
La (0.0000, 0.0000, 0.0000)
La (0.0000, 0.0000, 0.5000)
La (0.0000, 0.5000, 0.0000)
Ho (0.0000, 0.5000, 0.5000)
Sb (0.0000, 0.0000, 0.2452)
Sb (0.0065, 0.5033, 0.7533)

Top 8 peaks for 2θ = 10–90°, in order of falling intensity:
2θ/deg  intensity  hkl
27.8  100  0 2 4
39.8  76  2 2 0
65.1  35  2 4 4
49.2  21  4 0 4
72.2  19  6 0 0
57.5  13  0 4 8
49.3  7  0 0 12
72.3  6  0 2 16